# 1
Starting from a DFT-relaxed cell (GGA-PBE, Alexandria), the powder X-ray diffraction pattern of Pa4GeC2 was calculated for Cu Ka.
Peak positions follow from Bragg's law for the DFT cell and can differ from measured ones.

Top 10 peaks for 2θ from 10° to 90°, most intense first:
| Position (°2θ) | Rel. int. | index |
| --- | --- | --- |
| 33.63 | 100 | 1 3 1 |
| 32.78 | 86 | 0 2 4 |
| 60.72 | 32 | 0 0 8 |
| 29.28 | 28 | 1 1 2 |
| 54.10 | 19 | 1 5 4 |
| 49.58 | 14 | 2 0 0 |
| 50.03 | 13 | 1 5 3 |
| 63.29 | 13 | 1 3 7 |
| 26.32 | 12 | 0 2 3 |
| 29.15 | 11 | 0 4 0 |

Structure:
Unit cell a=3.6770 b=12.2525 c=12.1991 alpha=90.00 beta=90.00 gamma=90.00
Space group Cmcm (No. 63)
Unique sites:
Pa 0.0000 0.0000 0.0000 (multiplicity 4)
Pa 0.0000 0.2697 0.1152 (multiplicity 8)
Pa 0.0000 0.4164 0.7500 (multiplicity 4)
Ge 0.0000 0.0937 0.7500 (multiplicity 4)
C 0.0000 0.3629 0.5565 (multiplicity 8)

---

# 2
Starting from a DFT-relaxed cell (GGA-PBE, Alexandria), the powder X-ray diffraction pattern of PaGeC was calculated for Cu Ka.
Peak positions follow from Bragg's law for the DFT cell and can differ from measured ones.

Top 10 peaks for 2θ from 10° to 90°, most intense first:
| Position (°2θ) | Rel. int. | index |
| --- | --- | --- |
| 26.91 | 100 | 0 1 2 |
| 36.06 | 68 | 1 0 7 |
| 45.78 | 44 | 1 1 0 |
| 31.48 | 40 | 0 1 5 |
| 56.81 | 31 | 1 1 9 |
| 31.80 | 26 | 0 0 9 |
| 59.62 | 16 | 0 2 7 |
| 53.90 | 15 | 2 0 2 |
| 78.28 | 15 | 2 1 7 |
| 57.59 | 14 | 0 1 14 |

Structure:
Unit cell a=3.9640 b=3.9640 c=25.3295 alpha=90.00 beta=90.00 gamma=120.00
Space group R-3m (No. 166, hexagonal axes)
Unique sites:
Pa 0.0000 0.0000 0.2226 (multiplicity 6)
Ge 0.0000 0.0000 0.3556 (multiplicity 6)
C 0.0000 0.0000 0.1299 (multiplicity 6)

---

# 3
Starting from a DFT-relaxed cell (GGA-PBE, Alexandria), the powder X-ray diffraction pattern of Pm3Ge2RuC was calculated for Cu Ka.
Peak positions follow from Bragg's law for the DFT cell and can differ from measured ones.

Top 10 peaks for 2θ from 10° to 90°, most intense first:
| Position (°2θ) | Rel. int. | index |
| --- | --- | --- |
| 36.66 | 100 | 1 1 4 |
| 31.03 | 97 | 1 1 2 |
| 33.27 | 52 | 0 0 6 |
| 36.49 | 44 | 0 2 0 |
| 50.21 | 32 | 0 2 6 |
| 70.34 | 23 | 2 2 6 |
| 45.87 | 23 | 2 0 0 |
| 65.17 | 23 | 1 1 10 |
| 57.83 | 22 | 2 0 6 |
| 59.98 | 21 | 2 2 0 |

Structure:
Unit cell a=3.9570 b=4.9241 c=16.1592 alpha=90.00 beta=90.00 gamma=90.00
Space group Immm (No. 71)
Unique sites:
Pm 0.0000 0.0000 0.0000 (multiplicity 2)
Pm 0.0000 0.5000 0.1628 (multiplicity 4)
Ge 0.0000 0.5000 0.3500 (multiplicity 4)
Ru 0.0000 0.0000 0.5000 (multiplicity 2)
C 0.0000 0.5000 0.0000 (multiplicity 2)

---

# 4
Starting from a DFT-relaxed cell (GGA-PBE, Alexandria), the powder X-ray diffraction pattern of Pm4SnGeC was calculated for Cu Ka.
Peak positions follow from Bragg's law for the DFT cell and can differ from measured ones.

Top 10 peaks for 2θ from 10° to 90°, most intense first:
| Position (°2θ) | Rel. int. | index |
| --- | --- | --- |
| 34.13 | 100 | 2 4 0 |
| 27.99 | 92 | 2 2 0 |
| 36.60 | 68 | 2 0 2 |
| 50.40 | 49 | 2 6 2 |
| 33.44 | 33 | 0 6 0 |
| 64.32 | 32 | 4 4 2 |
| 63.83 | 27 | 0 6 4 |
| 52.73 | 24 | 4 0 0 |
| 87.34 | 23 | 4 6 4 |
| 60.75 | 21 | 4 2 2 |

Structure:
Unit cell a=6.9428 b=16.0766 c=6.9448 alpha=90.00 beta=90.00 gamma=90.00
Space group Cmcm (No. 63)
Unique sites:
Pm 0.0000 0.0803 0.2500 (multiplicity 4)
Pm 0.0000 0.4122 0.2500 (multiplicity 4)
Pm 0.2500 0.2500 0.0000 (multiplicity 8)
Sn 0.0000 0.3903 0.7500 (multiplicity 4)
Ge 0.0000 0.1154 0.7500 (multiplicity 4)
C 0.0000 0.2481 0.2500 (multiplicity 4)

---

# 5
Starting from a DFT-relaxed cell (GGA-PBE, Alexandria), the powder X-ray diffraction pattern of Pm2YGeC was calculated for Cu Ka.
Peak positions follow from Bragg's law for the DFT cell and can differ from measured ones.

Top 10 peaks for 2θ from 10° to 90°, most intense first:
| Position (°2θ) | Rel. int. | index |
| --- | --- | --- |
| 34.14 | 100 | 1 1 2 |
| 31.49 | 81 | 0 4 2 |
| 28.65 | 75 | 1 3 0 |
| 37.33 | 44 | 1 3 2 |
| 31.36 | 40 | 0 6 0 |
| 59.38 | 39 | 2 4 2 |
| 50.74 | 36 | 1 7 2 |
| 27.20 | 27 | 1 1 1 |
| 48.98 | 23 | 2 0 0 |
| 80.32 | 21 | 2 10 2 |

Structure:
Unit cell a=3.7193 b=17.1139 c=7.5973 alpha=90.00 beta=90.00 gamma=90.00
Space group Cmcm (No. 63)
Unique sites:
Pm 0.0000 0.1460 0.0256 (multiplicity 8)
Y 0.0000 0.4902 0.2500 (multiplicity 4)
Ge 0.0000 0.3025 0.2500 (multiplicity 4)
C 0.0000 0.0000 0.0000 (multiplicity 4)

---

# 6
Starting from a DFT-relaxed cell (GGA-PBE, Alexandria), the powder X-ray diffraction pattern of Pr5Ge3C was calculated for Cu Ka.
Peak positions follow from Bragg's law for the DFT cell and can differ from measured ones.

Top 10 peaks for 2θ from 10° to 90°, most intense first:
| Position (°2θ) | Rel. int. | index |
| --- | --- | --- |
| 33.35 | 100 | 2 1 1 |
| 32.91 | 67 | 1 1 2 |
| 30.63 | 41 | 2 1 0 |
| 54.49 | 34 | 4 1 0 |
| 28.43 | 32 | 1 0 2 |
| 50.65 | 31 | 2 1 3 |
| 34.88 | 24 | 3 0 0 |
| 66.36 | 20 | 5 0 2 |
| 48.69 | 18 | 2 2 2 |
| 53.34 | 14 | 0 0 4 |

Structure:
Unit cell a=8.9165 b=8.9165 c=6.8729 alpha=90.00 beta=90.00 gamma=120.00
Space group P6_3/mcm (No. 193)
Unique sites:
Pr 0.0000 0.2220 0.2500 (multiplicity 6)
Pr 0.3333 0.6667 0.0000 (multiplicity 4)
Ge 0.0000 0.4133 0.7500 (multiplicity 6)
C 0.0000 0.0000 0.0000 (multiplicity 2)

---

# 7
Starting from a DFT-relaxed cell (GGA-PBE, Alexandria), the powder X-ray diffraction pattern of Pr6Ge2C was calculated for Cu Ka.
Peak positions follow from Bragg's law for the DFT cell and can differ from measured ones.

Top 10 peaks for 2θ from 10° to 90°, most intense first:
| Position (°2θ) | Rel. int. | index |
| --- | --- | --- |
| 28.52 | 100 | 0 2 2 |
| 31.37 | 99 | 1 0 -4 |
| 29.66 | 66 | 2 1 -2 |
| 35.75 | 50 | 1 3 -1 |
| 32.07 | 48 | 1 2 -3 |
| 27.56 | 42 | 1 2 -2 |
| 46.63 | 39 | 1 4 -1 |
| 30.76 | 38 | 2 1 -1 |
| 32.30 | 38 | 1 1 2 |
| 34.45 | 37 | 2 1 0 |

Structure:
Unit cell a=6.4850 b=8.1743 c=11.4893 alpha=90.00 beta=122.12 gamma=90.00
Space group P2_1/c (No. 14)
Unique sites:
Pr 0.1132 0.1589 0.4459 (multiplicity 4)
Pr 0.3095 0.7065 0.4472 (multiplicity 4)
Pr 0.3633 0.0350 0.2474 (multiplicity 4)
Ge 0.1891 0.1128 0.7581 (multiplicity 4)
C 0.5000 0.0000 0.5000 (multiplicity 2)

---

# 8
Starting from a DFT-relaxed cell (GGA-PBE, Alexandria), the powder X-ray diffraction pattern of PrGeRu2C was calculated for Cu Ka.
Peak positions follow from Bragg's law for the DFT cell and can differ from measured ones.

Top 10 peaks for 2θ from 10° to 90°, most intense first:
| Position (°2θ) | Rel. int. | index |
| --- | --- | --- |
| 33.92 | 100 | 1 1 2 |
| 32.71 | 63 | 1 3 0 |
| 34.96 | 60 | 1 3 1 |
| 34.31 | 47 | 0 4 1 |
| 44.93 | 38 | 2 0 0 |
| 43.92 | 31 | 1 1 3 |
| 40.11 | 30 | 0 2 3 |
| 60.52 | 23 | 1 5 3 |
| 57.73 | 21 | 2 4 1 |
| 40.51 | 20 | 0 4 2 |

Structure:
Unit cell a=4.0347 b=11.1834 c=7.3661 alpha=90.00 beta=90.00 gamma=90.00
Space group Cmcm (No. 63)
Unique sites:
Pr 0.0000 0.0499 0.2500 (multiplicity 4)
Ge 0.0000 0.2298 0.7500 (multiplicity 4)
Ru 0.0000 0.3371 0.0586 (multiplicity 8)
C 0.0000 0.5000 0.0000 (multiplicity 4)